Calculated X-ray diffraction stick pattern of Y2V3Si4 for Cu Kα, from the PBE geometry in Alexandria.
Lines closer than 0.1° are merged.

Top 8 peaks for 10° ≤ 2θ ≤ 90°, sorted by position:
34.84 deg, I = 37.4, (1 2 1)
35.09 deg, I = 34.6, (2 1 -2)
37.59 deg, I = 100.0, (2 2 -1)
37.89 deg, I = 96.0, (1 1 2)
38.39 deg, I = 28.8, (2 2 0)
42.19 deg, I = 47.9, (0 3 1)
42.34 deg, I = 26.0, (3 0 -2)
42.55 deg, I = 44.4, (1 1 -3)

Structure:
a = 6.831 Å, b = 6.828 Å, c = 6.707 Å
α = 90.00°, β = 109.18°, γ = 90.00°
Atoms (fractional coordinates):
Y1 0.187 0.168 0.061
Y2 0.187 0.332 0.561
Y3 0.813 0.668 0.439
Y4 0.813 0.832 0.939
V1 0.260 0.671 0.249
V2 0.260 0.829 0.749
V3 0.500 0.000 0.500
V4 0.500 0.500 0.000
V5 0.740 0.171 0.251
V6 0.740 0.329 0.751
Si1 0.092 0.545 0.873
Si2 0.092 0.955 0.373
Si3 0.499 0.629 0.630
Si4 0.499 0.871 0.130
Si5 0.501 0.129 0.870
Si6 0.501 0.371 0.370
Si7 0.908 0.045 0.627
Si8 0.908 0.455 0.127